(1)
Nd2HoTm2: simulated powder X-ray diffraction pattern (CuKα), based on a crystal structure in Alexandria, relaxed with GGA-PBE.

Peak list (10 most intense, 5 to 70 degrees two-theta, by angle)
3.024 Å, 2θ = 29.54°, I = 28
2.917 Å, 2θ = 30.65°, I = 42
2.846 Å, 2θ = 31.43°, I = 100
2.609 Å, 2θ = 34.38°, I = 61
2.358 Å, 2θ = 38.17°, I = 24
1.785 Å, 2θ = 51.18°, I = 31
1.728 Å, 2θ = 53.00°, I = 27
1.522 Å, 2θ = 60.85°, I = 36
1.512 Å, 2θ = 61.31°, I = 15
1.473 Å, 2θ = 63.12°, I = 11

Atomic structure:
Cell lengths 6.182, 3.570, 14.585 Å; angles 90.00, 90.05, 90.00 degrees
Element x y z (fractional)
Nd  0.168  0.000  0.393
Nd  0.332  0.500  0.607
Nd  0.668  0.500  0.393
Nd  0.832  0.000  0.607
Ho  0.000  0.500  0.000
Ho  0.500  0.000  0.000
Tm  0.166  0.000  0.806
Tm  0.334  0.500  0.194
Tm  0.666  0.500  0.806
Tm  0.834  0.000  0.194



(2)
NdHoTm3: simulated powder X-ray diffraction pattern (CuKα), based on a crystal structure in Alexandria, relaxed with GGA-PBE.

Peak list (10 most intense, 5 to 70 degrees two-theta, by angle)
3.125 Å, 2θ = 28.56°, I = 24
2.801 Å, 2θ = 31.95°, I = 24
2.729 Å, 2θ = 32.81°, I = 100
2.086 Å, 2θ = 43.38°, I = 16
1.805 Å, 2θ = 50.57°, I = 13
1.803 Å, 2θ = 50.62°, I = 7
1.603 Å, 2θ = 57.49°, I = 20
1.517 Å, 2θ = 61.09°, I = 23
1.505 Å, 2θ = 61.62°, I = 16
1.365 Å, 2θ = 68.79°, I = 4

Atomic structure:
Cell lengths 6.249, 5.603, 9.546 Å; angles 90.00, 109.04, 90.00 degrees
Element x y z (fractional)
Nd  0.068  0.000  0.300
Nd  0.932  0.500  0.700
Ho  0.466  0.997  0.099
Ho  0.534  0.497  0.901
Tm  0.134  0.496  0.098
Tm  0.269  0.998  0.702
Tm  0.336  0.499  0.501
Tm  0.664  0.999  0.499
Tm  0.731  0.498  0.298
Tm  0.866  0.996  0.902



(3)
Nd12Ho5Tm2: simulated powder X-ray diffraction pattern (CuKα), based on a crystal structure in Alexandria, relaxed with GGA-PBE.

Peak list (10 most intense, 5 to 70 degrees two-theta, by angle)
3.236 Å, 2θ = 27.57°, I = 31
3.010 Å, 2θ = 29.68°, I = 25
2.935 Å, 2θ = 30.46°, I = 57
2.886 Å, 2θ = 30.98°, I = 18
2.838 Å, 2θ = 31.53°, I = 100
2.733 Å, 2θ = 32.77°, I = 42
2.590 Å, 2θ = 34.63°, I = 19
2.552 Å, 2θ = 35.17°, I = 20
2.058 Å, 2θ = 44.00°, I = 13
1.675 Å, 2θ = 54.80°, I = 20

Atomic structure:
Cell lengths 10.722, 10.722, 6.233 Å; angles 100.34, 100.34, 66.38 degrees
Element x y z (fractional)
Nd  0.046  0.562  0.802
Nd  0.056  0.056  0.274
Nd  0.148  0.644  0.383
Nd  0.356  0.852  0.617
Nd  0.381  0.381  0.995
Nd  0.438  0.954  0.198
Nd  0.562  0.046  0.802
Nd  0.619  0.619  0.005
Nd  0.644  0.148  0.383
Nd  0.852  0.356  0.617
Nd  0.944  0.944  0.726
Nd  0.954  0.438  0.198
Ho  0.178  0.178  0.859
Ho  0.283  0.283  0.443
Ho  0.500  0.500  0.500
Ho  0.717  0.717  0.557
Ho  0.822  0.822  0.141
Tm  0.267  0.733  0.000
Tm  0.733  0.267  0.000



(4)
Nd8Ho4Tm3: simulated powder X-ray diffraction pattern (CuKα), based on a crystal structure in Alexandria, relaxed with GGA-PBE.

Peak list (10 most intense, 5 to 70 degrees two-theta, by angle)
3.358 Å, 2θ = 26.54°, I = 20
3.019 Å, 2θ = 29.59°, I = 32
2.977 Å, 2θ = 30.01°, I = 59
2.870 Å, 2θ = 31.16°, I = 100
2.625 Å, 2θ = 34.15°, I = 15
2.508 Å, 2θ = 35.80°, I = 72
1.798 Å, 2θ = 50.77°, I = 28
1.750 Å, 2θ = 52.28°, I = 39
1.539 Å, 2θ = 60.11°, I = 18
1.509 Å, 2θ = 61.46°, I = 47

Atomic structure:
Cell lengths 12.577, 12.577, 12.577 Å; angles 32.32, 32.32, 32.32 degrees
Element x y z (fractional)
Nd  0.245  0.245  0.245
Nd  0.248  0.750  0.750
Nd  0.250  0.250  0.752
Nd  0.250  0.752  0.250
Nd  0.750  0.248  0.750
Nd  0.750  0.750  0.248
Nd  0.752  0.250  0.250
Nd  0.755  0.755  0.755
Ho  0.000  0.000  0.000
Ho  0.336  0.336  0.336
Ho  0.500  0.500  0.500
Ho  0.664  0.664  0.664
Tm  0.000  0.000  0.500
Tm  0.000  0.500  0.000
Tm  0.500  0.000  0.000



Q: What is the formula in the third record?
A: Nd12Ho5Tm2



Q: Which formula does entry 1 have?
A: Nd2HoTm2